# LiPt2Cl
Calculated powder diffraction line list, Cu Kα, 1.54184 Å. Input: a cell relaxed with GGA-PBE.
Kinematic intensities with the Lorentz-polarization factor, no thermal factor.

Crystal structure
a = 13.016 Å, b = 3.139 Å, c = 3.738 Å
α = 90.00°, β = 90.53°, γ = 90.00°
Element x y z (fractional)
1 Li 0.000 0.000 0.000
2 Li 0.500 0.500 0.000
3 Pt 0.219 0.500 0.752
4 Pt 0.281 0.000 0.248
5 Pt 0.719 0.000 0.752
6 Pt 0.781 0.500 0.248
7 Cl 0.000 0.500 0.500
8 Cl 0.500 0.000 0.500

Largest 10 diffraction maxima, by intensity, 10° ≤ 2θ ≤ 90°:
two_theta	I/Imax
13.61	100
38.06	50
27.41	28
43.13	16
45.25	13
48.73	10
42.91	10
36.79	9
35.29	7
48.32	7



# LiPt2Cl
Calculated powder diffraction line list, Cu Kα, 1.54184 Å. Input: a cell relaxed with GGA-PBE.
Kinematic intensities with the Lorentz-polarization factor, no thermal factor.

Crystal structure
a = 3.383 Å, b = 3.450 Å, c = 13.778 Å
α = 90.00°, β = 90.00°, γ = 90.00°
Element x y z (fractional)
1 Li 0.000 0.000 0.000
2 Li 0.500 0.500 0.500
3 Pt 0.000 0.500 0.280
4 Pt 0.000 0.500 0.720
5 Pt 0.500 0.000 0.220
6 Pt 0.500 0.000 0.780
7 Cl 0.000 0.000 0.500
8 Cl 0.500 0.500 0.000

Largest 10 diffraction maxima, by intensity, 10° ≤ 2θ ≤ 90°:
two_theta	I/Imax
12.85	100
39.54	44
25.87	22
37.22	19
42.30	13
32.46	13
45.89	11
41.96	9
53.61	9
32.88	7



# Rb2LiPtCl6
Calculated powder diffraction line list, Cu Kα, 1.54184 Å. Input: a cell relaxed with GGA-PBE.
Kinematic intensities with the Lorentz-polarization factor, no thermal factor.

Crystal structure
a = 12.760 Å, b = 12.760 Å, c = 12.760 Å
α = 32.51°, β = 32.51°, γ = 32.51°
Element x y z (fractional)
1 Rb 0.123 0.123 0.123
2 Rb 0.297 0.297 0.297
3 Rb 0.703 0.703 0.703
4 Rb 0.877 0.877 0.877
5 Li 0.416 0.416 0.416
6 Li 0.584 0.584 0.584
7 Pt 0.000 0.000 0.000
8 Pt 0.500 0.500 0.500
9 Cl 0.143 0.619 0.619
10 Cl 0.201 0.201 0.717
11 Cl 0.201 0.717 0.201
12 Cl 0.283 0.799 0.799
13 Cl 0.381 0.381 0.857
14 Cl 0.381 0.857 0.381
15 Cl 0.619 0.143 0.619
16 Cl 0.619 0.619 0.143
17 Cl 0.717 0.201 0.201
18 Cl 0.799 0.283 0.799
19 Cl 0.799 0.799 0.283
20 Cl 0.857 0.381 0.381

Largest 10 diffraction maxima, by intensity, 10° ≤ 2θ ≤ 90°:
two_theta	I/Imax
15.13	100
24.93	97
17.36	66
31.44	65
29.04	59
14.67	58
33.76	52
38.26	50
28.55	50
51.14	49



# Li2PuCl4
Calculated powder diffraction line list, Cu Kα, 1.54184 Å. Input: a cell relaxed with GGA-PBE.
Kinematic intensities with the Lorentz-polarization factor, no thermal factor.

Crystal structure
a = 7.867 Å, b = 7.867 Å, c = 7.867 Å
α = 123.68°, β = 119.29°, γ = 87.50°
Element x y z (fractional)
1 Li 0.000 0.000 0.000
2 Li 0.373 0.623 0.750
3 Li 0.500 0.000 0.500
4 Li 0.627 0.377 0.250
5 Pu 0.000 0.000 0.500
6 Pu 0.000 0.500 0.000
7 Cl 0.247 0.235 0.487
8 Cl 0.247 0.760 0.013
9 Cl 0.254 0.234 0.020
10 Cl 0.287 0.766 0.520
11 Cl 0.713 0.234 0.480
12 Cl 0.746 0.766 0.980
13 Cl 0.753 0.240 0.987
14 Cl 0.753 0.765 0.513

Largest 10 diffraction maxima, by intensity, 10° ≤ 2θ ≤ 90°:
two_theta	I/Imax
13.59	100
27.65	49
15.59	39
33.01	36
46.26	28
26.05	23
35.69	23
31.48	20
36.70	20
22.36	19